No. 1
Simulated X-ray powder pattern of Y5Zn3 for Cu Ka, from DFT lattice parameters and positions (GGA-PBE).

Largest 6 diffraction maxima, by intensity, 2θ = 10–80°:
2θ/deg	I_rel
33.67	100
35.39	53
62.44	32
50.92	18
59.09	12
42.43	8

```
8
Lattice="3.587 0.000 0.000 0.000 3.587 0.000 0.000 0.000 15.892" Properties=species:S:1:pos:R:3 pbc="T T T"
Y 0.000 0.000 0.000
Y 0.000 0.000 3.534
Y 0.000 0.000 12.358
Y 1.793 1.793 6.199
Y 1.793 1.793 9.693
Zn 0.000 0.000 7.946
Zn 1.793 1.793 1.775
Zn 1.793 1.793 14.117
```

=====

No. 2
Simulated X-ray powder pattern of YbAl2Cl8 for Cu Ka, from DFT lattice parameters and positions (GGA-PBE).

Largest 6 diffraction maxima, by intensity, 2θ = 10–80°:
2θ/deg	I_rel
13.93	100
15.09	34
25.62	28
38.84	25
36.44	20
40.20	19

```
44
Lattice="-5.873 5.873 9.878 5.873 -5.873 9.878 5.873 5.873 -9.878" Properties=species:S:1:pos:R:3 pbc="T T T"
Yb 5.873 -2.936 7.408
Yb 5.873 2.936 2.469
Yb 0.000 2.936 7.408
Yb 0.000 8.809 2.469
Al 2.936 2.674 0.000
Al 0.263 0.000 4.939
Al 6.135 0.000 4.939
Al 2.936 -2.674 9.878
Al 2.936 8.546 0.000
Al -0.263 5.873 4.939
Al 5.610 5.873 4.939
Al 2.936 3.199 9.878
Cl 9.171 1.956 -1.745
Cl 7.289 -1.811 4.828
Cl 7.289 4.061 -4.828
Cl 4.748 1.520 -0.111
Cl 4.892 5.511 -6.684
Cl 1.125 1.520 0.111
Cl 4.892 0.361 3.193
Cl 2.575 3.917 -1.745
Cl 8.448 1.956 1.745
Cl 4.892 -0.361 6.684
Cl 6.998 4.353 -0.111
Cl 4.892 6.234 -3.193
Cl 4.748 -1.520 9.989
Cl 1.417 1.811 4.828
Cl 7.289 1.811 5.050
Cl 3.298 3.917 1.745
Cl 2.575 1.956 8.132
Cl -1.417 4.061 4.828
Cl 4.456 4.061 5.050
Cl 1.125 7.392 -0.111
Cl 0.980 -0.361 13.071
Cl -1.125 1.520 9.989
Cl 0.980 6.234 3.193
Cl -2.575 3.917 8.132
Cl 3.298 1.956 11.623
Cl 0.980 5.511 6.684
Cl 4.748 4.353 9.767
Cl 0.980 0.361 16.562
Cl 1.125 4.353 9.989
Cl -1.417 1.811 14.706
Cl -1.417 7.684 5.050
Cl -3.298 3.917 11.623
```

=====

No. 3
Simulated X-ray powder pattern of Pr4InTe5 for Cu Ka, from DFT lattice parameters and positions (GGA-PBE).

Largest 6 diffraction maxima, by intensity, 2θ = 10–80°:
2θ/deg	I_rel
27.48	100
39.84	38
38.65	36
49.08	20
64.99	17
63.30	14

```
10
Lattice="2.263 1.306 19.317 -2.263 1.306 19.317 0.000 -2.613 19.317" Properties=species:S:1:pos:R:3 pbc="T T T"
Pr 0.000 0.000 5.581
Pr 0.000 0.000 17.440
Pr 0.000 0.000 40.511
Pr 0.000 0.000 52.370
In 0.000 0.000 28.975
Te 0.000 0.000 0.000
Te 0.000 0.000 11.868
Te 0.000 0.000 23.040
Te 0.000 0.000 34.911
Te 0.000 0.000 46.083
```